Record 1
Calculated XRD peak list
Compound: FePO4
Radiation: a wavelength of 1.5418 Å
Structure: a cell relaxed with PBE+U
No peak broadening, texture or thermal motion is included.

Main lines, by angle (5° ≤ 2θ ≤ 70°):
Position (°2θ)  I (rel.)  h k l
12.10  28  0 1 0
15.18  26  1 0 0
20.40  49  1 -1 1
28.42  45  2 0 -1
29.50  30  2 -1 0
29.75  100  0 2 1
29.96  64  0 1 -3
31.86  23  -2 1 2

Cell and atoms:
```
data_FePO4
_cell_length_a 6.3997
_cell_length_b 7.9111
_cell_length_c 9.4059
_cell_angle_alpha 105.08
_cell_angle_beta 107.74
_cell_angle_gamma 100.76
_space_group_name_H-M_alt 'P 1'
_space_group_IT_number 1
loop_
_space_group_symop_operation_xyz
'x,y,z'
loop_
_atom_site_label
_atom_site_type_symbol
_atom_site_fract_x
_atom_site_fract_y
_atom_site_fract_z
Fe1 Fe 0.0000 0.0000 0.0000
Fe2 Fe 0.0359 0.7229 0.4959
Fe3 Fe 0.3721 0.4781 0.1139
Fe4 Fe 0.6006 0.5517 0.8743
Fe5 Fe 0.6913 0.1872 0.6826
Fe6 Fe 0.9340 0.2771 0.4492
P1 P 0.0697 0.5876 0.8075
P2 P 0.2075 0.1427 0.7536
P3 P 0.3710 0.2274 0.3457
P4 P 0.5854 0.7676 0.6097
P5 P 0.7578 0.8532 0.2157
P6 P 0.8876 0.3997 0.1414
O1 O 0.0435 0.5429 0.6306
O2 O 0.0726 0.7816 0.8879
O3 O 0.0941 0.5220 0.1321
O4 O 0.1866 0.9430 0.6880
O5 O 0.2049 0.1937 0.9254
O6 O 0.2299 0.2760 0.4469
O7 O 0.2384 0.0486 0.2030
O8 O 0.2895 0.5410 0.8948
O9 O 0.3522 0.7587 0.4966
O10 O 0.4360 0.2575 0.7505
O11 O 0.4494 0.3765 0.2819
O12 O 0.5304 0.7352 0.2026
O13 O 0.5531 0.6404 0.7057
O14 O 0.5962 0.2121 0.4698
O15 O 0.6663 0.4499 0.0577
O16 O 0.7058 0.9699 0.7392
O17 O 0.7422 0.7231 0.5222
O18 O 0.7660 0.8105 0.0409
O19 O 0.7713 0.0557 0.2743
O20 O 0.8551 0.4521 0.8123
O21 O 0.8611 0.1975 0.0582
O22 O 0.9116 0.4429 0.3193
O23 O 0.9644 0.8155 0.3228
O24 O 0.9979 0.1904 0.6460
```

***

Record 2
Calculated XRD peak list
Compound: FePO4
Radiation: a wavelength of 1.5418 Å
Structure: a cell relaxed with PBE+U
No peak broadening, texture or thermal motion is included.

Main lines, by angle (5° ≤ 2θ ≤ 70°):
Position (°2θ)  I (rel.)  h k l
15.97  31  0 1 1
20.01  100  1 1 -1
20.96  38  1 1 0
23.96  81  0 2 1
24.63  71  0 0 2
28.05  24  1 1 1
31.54  44  1 2 -2
36.99  29  2 0 0

Cell and atoms:
```
data_FePO4
_cell_length_a 5.3604
_cell_length_b 8.6567
_cell_length_c 7.9716
_cell_angle_alpha 90.00
_cell_angle_beta 114.95
_cell_angle_gamma 90.00
_space_group_name_H-M_alt 'P 1 21/c 1'
_space_group_IT_number 14
loop_
_space_group_symop_operation_xyz
'x,y,z'
'-x,-y,-z'
'-x,y+1/2,-z+1/2'
'x,-y+1/2,z+1/2'
loop_
_atom_site_label
_atom_site_type_symbol
_atom_site_fract_x
_atom_site_fract_y
_atom_site_fract_z
Fe1 Fe 0.2486 0.0312 0.2896
P1 P 0.3037 0.6883 0.1852
O1 O 0.0964 0.6026 0.2371
O2 O 0.2119 0.6436 0.6322
O3 O 0.3421 0.5973 0.0252
O4 O 0.3962 0.1780 0.1629
```

***

Record 3
Calculated XRD peak list
Compound: FePO4
Radiation: a wavelength of 1.5418 Å
Structure: a cell relaxed with PBE+U
No peak broadening, texture or thermal motion is included.

Main lines, by angle (5° ≤ 2θ ≤ 70°):
Position (°2θ)  I (rel.)  h k l
19.65  47  0 1 1
20.24  44  1 1 0
21.23  74  1 0 -2
24.10  100  1 1 1
26.31  41  1 0 2
28.39  17  2 1 -1
31.97  36  2 1 -2
32.43  17  2 1 1

Cell and atoms:
```
data_FePO4
_cell_length_a 7.9611
_cell_length_b 5.3331
_cell_length_c 8.7735
_cell_angle_alpha 90.00
_cell_angle_beta 104.28
_cell_angle_gamma 90.00
_space_group_name_H-M_alt 'P 1 c 1'
_space_group_IT_number 7
loop_
_space_group_symop_operation_xyz
'x,y,z'
'x,-y,z+1/2'
loop_
_atom_site_label
_atom_site_type_symbol
_atom_site_fract_x
_atom_site_fract_y
_atom_site_fract_z
Fe1 Fe 0.0000 0.1427 0.0000
Fe2 Fe 0.4864 0.3181 0.2898
P1 P 0.2306 0.1852 0.7479
P2 P 0.7221 0.3358 0.0426
O1 O 0.0892 0.1663 0.5909
O2 O 0.1508 0.2699 0.8832
O3 O 0.3111 0.0801 0.2865
O4 O 0.3694 0.3749 0.7279
O5 O 0.5950 0.2200 0.1306
O6 O 0.6530 0.4029 0.4776
O7 O 0.7497 0.1577 0.9077
O8 O 0.9118 0.3496 0.1486
```